# PuReB2
Theoretical powder XRD pattern, Cu Kα (weighted mean of Kα1 and Kα2). Input: the PBE geometry in the Materials Project.
Peak positions follow from Bragg's law for the DFT cell and can differ from measured ones.

Largest 10 diffraction maxima, low angle first, 2θ = 15–90°:
| 2θ/deg | I/Imax |
| --- | --- |
| 27.60 | 28 |
| 33.35 | 59 |
| 35.95 | 80 |
| 37.96 | 100 |
| 43.82 | 20 |
| 61.30 | 17 |
| 62.09 | 17 |
| 62.67 | 24 |
| 64.88 | 16 |
| 74.94 | 23 |

Structural model:
abc: 5.787 5.373 6.463
angles: 90.00 90.00 90.00
Space group Pnma (No. 62)
Unique sites:
Pu1 0.003 0.250 0.164 (multiplicity 4)
Re1 0.184 0.250 0.687 (multiplicity 4)
B1 0.134 0.580 0.465 (multiplicity 8)

---

# LiCa2NiN2
Theoretical powder XRD pattern, Cu Kα (weighted mean of Kα1 and Kα2). Input: the PBE geometry in the Materials Project.
Peak positions follow from Bragg's law for the DFT cell and can differ from measured ones.

Largest 10 diffraction maxima, low angle first, 2θ = 15–90°:
| 2θ/deg | I/Imax |
| --- | --- |
| 26.34 | 67 |
| 34.22 | 65 |
| 35.16 | 89 |
| 36.88 | 100 |
| 46.40 | 26 |
| 51.84 | 18 |
| 54.50 | 15 |
| 60.71 | 32 |
| 64.19 | 27 |
| 65.95 | 18 |

Structural model:
abc: 3.527 3.914 6.735
angles: 90.00 90.00 90.00
Space group Pmmm (No. 47)
Unique sites:
Li1 0.000 0.000 0.000 (multiplicity 1)
Ca1 0.500 0.500 0.247 (multiplicity 2)
Ni1 0.000 0.000 0.500 (multiplicity 1)
N1 0.000 0.500 0.000 (multiplicity 1)
N2 0.500 0.000 0.500 (multiplicity 1)

---

# Mg3Ga
Theoretical powder XRD pattern, Cu Kα (weighted mean of Kα1 and Kα2). Input: the PBE geometry in the Materials Project.
Peak positions follow from Bragg's law for the DFT cell and can differ from measured ones.

Largest 10 diffraction maxima, low angle first, 2θ = 15–90°:
| 2θ/deg | I/Imax |
| --- | --- |
| 16.51 | 15 |
| 24.45 | 31 |
| 28.79 | 14 |
| 33.37 | 24 |
| 36.28 | 26 |
| 38.12 | 100 |
| 50.11 | 15 |
| 59.64 | 17 |
| 66.49 | 18 |
| 71.84 | 19 |

Structural model:
abc: 6.2016 6.2016 4.9520
angles: 90.00 90.00 120.00
Space group P6_3/mmc (No. 194)
Unique sites:
Mg1 0.1689 0.3379 0.2500 (multiplicity 6)
Ga1 0.3333 0.6667 0.7500 (multiplicity 2)

---

Repeat the first record exactly.
# PuReB2
Theoretical powder XRD pattern, Cu Kα (weighted mean of Kα1 and Kα2). Input: the PBE geometry in the Materials Project.
Peak positions follow from Bragg's law for the DFT cell and can differ from measured ones.

Largest 10 diffraction maxima, low angle first, 2θ = 15–90°:
| 2θ/deg | I/Imax |
| --- | --- |
| 27.60 | 28 |
| 33.35 | 59 |
| 35.95 | 80 |
| 37.96 | 100 |
| 43.82 | 20 |
| 61.30 | 17 |
| 62.09 | 17 |
| 62.67 | 24 |
| 64.88 | 16 |
| 74.94 | 23 |

Structural model:
abc: 5.787 5.373 6.463
angles: 90.00 90.00 90.00
Space group Pnma (No. 62)
Unique sites:
Pu1 0.003 0.250 0.164 (multiplicity 4)
Re1 0.184 0.250 0.687 (multiplicity 4)
B1 0.134 0.580 0.465 (multiplicity 8)